Simulated powder XRD pattern
Compound: NaAlSi3O8
Radiation: Cu Kα X-rays
Structure: a DFT-relaxed cell (PBE, Alexandria)

Main lines, sorted by position (2θ = 5–70°):
hkl 0 0 2, 2θ 20.2, rel. 17
hkl 1 1 -1, 2θ 21.1, rel. 59
hkl 2 0 -2, 2θ 21.2, rel. 72
hkl 1 1 -2, 2θ 23.5, rel. 21
hkl 0 1 2, 2θ 27.3, rel. 100
hkl 2 1 -1, 2θ 29.7, rel. 25

Crystal structure
Lattice parameters (Å, degrees): 8.3761 4.8805 11.9535 90.00 132.68 90.00
Atoms (fractional coordinates):
Na  0.0000  0.2387  0.0000
Na  0.0000  0.7613  0.5000
Al  0.8706  0.3687  0.6690
Al  0.8706  0.6313  0.1690
Si  0.1704  0.1338  0.3493
Si  0.1704  0.8662  0.8493
Si  0.4845  0.4041  0.6655
Si  0.4845  0.5959  0.1655
Si  0.5419  0.1068  0.3478
Si  0.5419  0.8932  0.8478
O  0.0284  0.1300  0.8198
O  0.0284  0.8700  0.3198
O  0.0319  0.3483  0.2080
O  0.0319  0.6517  0.7080
O  0.2566  0.2808  0.5070
O  0.2566  0.7192  0.0070
O  0.3799  0.0323  0.3743
O  0.3799  0.9677  0.8743
O  0.4106  0.3223  0.2025
O  0.4106  0.6777  0.7025
O  0.5923  0.1784  0.8034
O  0.5923  0.8216  0.3034
O  0.6633  0.4798  0.6589
O  0.6633  0.5202  0.1589
O  0.7738  0.2277  0.4967
O  0.7738  0.7723  0.9967